This entry pairs a crystal structure of KYMg6 with its simulated X-ray powder pattern. Radiation: Cu Ka. Structure: a structure optimized by DFT (GGA-PBE).
No peak broadening, texture or thermal motion is included.

Main lines, sorted by position (2θ from 10° to 90°):
d/Å  2theta  intensity  h k l
6.129  14.45  19.6  0 1 1
3.940  22.57  18.5  1 0 2
3.065  29.14  26.8  0 2 2
2.668  33.59  32.3  2 0 0
2.658  33.73  100.0  1 2 2
2.563  35.01  39.6  1 0 4

Crystal structure
a b c (Å): 5.336 7.199 11.688
angles (deg): 90.00 90.00 90.00
Space group Amm2 (No. 38)
Symmetry-distinct sites (fractional):
K (0.000, 0.000, 0.000) x2
Y (0.000, 0.000, 0.511) x2
Mg (0.000, 0.241, 0.250) x4
Mg (0.500, 0.000, 0.332) x2
Mg (0.500, 0.000, 0.815) x2
Mg (0.500, 0.235, 0.593) x4

This entry pairs a crystal structure of KYMg6 with its simulated X-ray powder pattern. Radiation: Cu Ka. Structure: a structure optimized by DFT (GGA-PBE).
No peak broadening, texture or thermal motion is included.

Main lines, sorted by position (2θ from 10° to 90°):
d/Å  2theta  intensity  h k l
5.996  14.78  28.8  0 1 1
2.940  30.41  19.6  0 0 4
2.699  33.19  32.6  2 0 0
2.621  34.21  100.0  1 2 2
2.582  34.75  30.8  1 0 4
1.444  64.55  23.6  2 2 6

Crystal structure
a b c (Å): 5.399 6.970 11.759
angles (deg): 90.00 90.00 90.00
Space group Amm2 (No. 38)
Symmetry-distinct sites (fractional):
K (0.000, 0.000, 0.000) x2
Y (0.500, 0.000, 0.197) x2
Mg (0.000, 0.000, 0.517) x2
Mg (0.000, 0.243, 0.261) x4
Mg (0.500, 0.000, 0.694) x2
Mg (0.500, 0.235, 0.436) x4

This entry pairs a crystal structure of KMg6Zr with its simulated X-ray powder pattern. Radiation: Cu Ka. Structure: a structure optimized by DFT (GGA-PBE).
No peak broadening, texture or thermal motion is included.

Main lines, sorted by position (2θ from 10° to 90°):
d/Å  2theta  intensity  h k l
6.712  13.19  26.3  1 0 0
4.746  18.70  19.0  1 1 0
2.721  32.92  100.0  2 0 1
2.373  37.91  32.3  2 2 0
1.661  55.32  20.4  2 2 2
1.428  65.33  21.6  4 2 1

Crystal structure
a b c (Å): 6.712 6.712 4.649
angles (deg): 90.00 90.00 90.00
Space group P4/mmm (No. 123)
Symmetry-distinct sites (fractional):
K (0.000, 0.000, 0.000) x1
Mg (0.000, 0.500, 0.000) x2
Mg (0.275, 0.275, 0.500) x4
Zr (0.500, 0.500, 0.000) x1

This entry pairs a crystal structure of KMg6Zr with its simulated X-ray powder pattern. Radiation: Cu Ka. Structure: a structure optimized by DFT (GGA-PBE).
No peak broadening, texture or thermal motion is included.

Main lines, sorted by position (2θ from 10° to 90°):
d/Å  2theta  intensity  h k l
5.772  15.35  28.5  1 0 0
3.868  22.99  27.2  1 0 1
2.886  30.99  26.6  2 0 0
2.605  34.42  24.5  0 0 2
2.525  35.56  100.0  2 0 1
1.404  66.62  18.4  2 2 2

Crystal structure
a b c (Å): 6.6652 6.6652 5.2105
angles (deg): 90.00 90.00 120.00
Space group P-6m2 (No. 187)
Symmetry-distinct sites (fractional):
K (0.0000, 0.0000, 0.0000) x1
Mg (0.1773, 0.3546, 0.5000) x3
Mg (0.5105, 0.0209, 0.0000) x3
Zr (0.6667, 0.3333, 0.5000) x1